The following is a simulated XRD peak list of U2NiO6. It was derived from a DFT-relaxed cell (PBE+U, Alexandria), using Cu Kα, 1.54184 Å.
Neutral-atom scattering factors, no anomalous dispersion.

Crystal structure
```
27
Lattice="9.1474 0.0000 0.0000 -4.5737 7.9219 0.0000 0.0000 0.0000 5.0289" Properties=species:S:1:pos:R:3 pbc="T T T"
U -1.4270 2.4717 0.0000
U -2.9555 5.1191 2.5144
U 2.8540 0.0000 0.0000
U 1.6182 2.8028 2.5144
U 5.9110 0.0000 2.5144
U 3.1467 5.4502 0.0000
Ni 0.0000 0.0000 2.5144
Ni 0.0000 5.2813 0.0310
Ni 4.5737 2.6406 4.9979
O -3.1009 6.9456 1.3912
O -1.4671 4.3130 1.1885
O 0.1091 1.7637 1.3912
O -1.5317 6.1388 3.8960
O 1.4728 0.9763 3.6377
O 0.0232 3.5260 3.8960
O -0.1050 7.0360 1.1885
O 3.0420 1.7831 1.1329
O 1.5721 4.4949 1.1885
O 4.4687 0.8859 3.8404
O 1.5085 6.1790 3.8960
O 3.1066 3.6089 3.8404
O 6.0822 1.7429 1.1329
O 2.9918 7.1345 1.3912
O 4.5969 4.3959 1.1329
O 7.5655 0.7874 3.6377
O 6.1458 3.4270 3.8404
O 4.6828 6.1582 3.6377
```

Main lines, in order of rising 2θ (2θ from 10° to 90°):
two_theta  I_rel
19.41  16
26.34  100
33.95  35
35.71  9
43.47  24
50.09  34
56.27  21
58.66  11
60.75  9
79.67  8


The following is a simulated XRD peak list of UZnNi2O6. It was derived from a DFT-relaxed cell (PBE+U, Alexandria), using Cu Kα, 1.54184 Å.
Neutral-atom scattering factors, no anomalous dispersion.

Crystal structure
```
10
Lattice="5.8473 0.0000 0.0000 0.0000 5.8473 0.0000 0.0000 0.0000 4.1928" Properties=species:S:1:pos:R:3 pbc="T T T"
U 0.0000 0.0000 0.0000
Zn 2.9236 2.9236 3.9487
Ni 0.0000 2.9236 0.7038
Ni 2.9236 0.0000 0.7038
O 0.0000 0.0000 2.1310
O 1.4534 1.4534 0.1826
O 1.4534 4.3938 0.1826
O 2.9236 2.9236 1.9984
O 4.3938 1.4534 0.1826
O 4.3938 4.3938 0.1826
```

Main lines, in order of rising 2θ (2θ from 10° to 90°):
two_theta  I_rel
15.15  59
21.19  100
21.49  47
26.15  37
30.36  56
30.58  76
37.50  42
43.79  50
48.70  45
49.14  42